# LiTiFeO4
Calculated X-ray powder pattern, Cu Kα. Input: a crystal structure in Alexandria, relaxed with PBE+U.
Intensities are scaled so that the largest is 100.

Main lines, in order of falling intensity (10 to 90 degrees two-theta):
two_theta  I_rel
18.13  100
42.74  39
35.15  31
61.86  29
42.50  20
35.02  16

Structural model:
Cell lengths 6.000, 6.000, 6.000 Å; angles 120.34, 120.01, 89.69 degrees
Positions (direct):
Li (0.370, 0.120, 0.250)
Li (0.630, 0.880, 0.750)
Ti (0.000, 0.000, 0.500)
Ti (0.000, 0.500, 0.000)
Fe (0.000, 0.500, 0.500)
Fe (0.500, 0.500, 0.000)
O (0.214, 0.744, 0.471)
O (0.227, 0.256, 0.971)
O (0.232, 0.253, 0.521)
O (0.232, 0.710, 0.979)
O (0.768, 0.290, 0.021)
O (0.768, 0.747, 0.479)
O (0.773, 0.744, 0.029)
O (0.786, 0.256, 0.529)